# V8O15
Simulated XRD peak list, Cu Kα. Input: a crystal structure in the Materials Project, relaxed with GGA+U.
Intensities are scaled so that the largest is 100.

Principal peaks in the range 2θ from 10° to 80°, in order of rising 2θ:
2θ 26.89, 3.315 Å, intensity 75, (1 -2 1)
2θ 28.61, 3.121 Å, intensity 78, (1 -2 2)
2θ 29.57, 3.021 Å, intensity 100, (1 0 -4)
2θ 35.28, 2.544 Å, intensity 44, (1 0 4)
2θ 35.75, 2.512 Å, intensity 40, (1 2 -1)
2θ 54.68, 1.678 Å, intensity 54, (-1 4 1)

Structure:
Unit cell a=5.5424 b=7.0899 c=13.4971 alpha=101.55 beta=96.66 gamma=107.58
Space group P-1 (No. 2)
Symmetry-distinct sites (fractional):
V (0.1726, 0.1763, 0.4489) (multiplicity 2)
V (0.1838, 0.6810, 0.4525) (multiplicity 2)
V (0.2096, 0.5086, 0.1923) (multiplicity 2)
V (0.2198, 0.0125, 0.1907) (multiplicity 2)
V (0.2603, 0.3290, 0.9397) (multiplicity 2)
V (0.2613, 0.8281, 0.9331) (multiplicity 2)
V (0.3081, 0.6431, 0.6775) (multiplicity 2)
V (0.3163, 0.1590, 0.6866) (multiplicity 2)
O (0.0021, 0.8696, 0.4197) (multiplicity 2)
O (0.0537, 0.5075, 0.3174) (multiplicity 2)
O (0.0670, 0.2137, 0.1547) (multiplicity 2)
O (0.0881, 0.8277, 0.0489) (multiplicity 2)
O (0.1238, 0.5206, 0.8912) (multiplicity 2)
O (0.1445, 0.1460, 0.7892) (multiplicity 2)
O (0.1908, 0.8466, 0.6060) (multiplicity 2)
O (0.2032, 0.4600, 0.5217) (multiplicity 2)
O (0.3258, 0.1914, 0.3438) (multiplicity 2)
O (0.3503, 0.8109, 0.2429) (multiplicity 2)
O (0.3819, 0.5083, 0.0772) (multiplicity 2)
O (0.4011, 0.1330, 0.9742) (multiplicity 2)
O (0.4246, 0.8273, 0.8176) (multiplicity 2)
O (0.4597, 0.4512, 0.7189) (multiplicity 2)
O (0.4852, 0.2014, 0.5489) (multiplicity 2)

# V9O20
Simulated XRD peak list, Cu Kα. Input: a crystal structure in the Materials Project, relaxed with GGA+U.
Intensities are scaled so that the largest is 100.

Principal peaks in the range 2θ from 10° to 80°, in order of rising 2θ:
2θ 17.59, 5.042 Å, intensity 100, (1 0 -1)
2θ 17.79, 4.986 Å, intensity 85, (1 1 0)
2θ 23.56, 3.776 Å, intensity 73, (-1 1 1)
2θ 28.30, 3.153 Å, intensity 92, (0 2 1)
2θ 29.86, 2.993 Å, intensity 75, (0 0 3)
2θ 34.64, 2.590 Å, intensity 75, (2 -1 0)

Structure:
Unit cell a=6.1935 b=6.7983 c=8.9895 alpha=88.69 beta=89.97 gamma=79.21
Space group P1 (No. 1)
Symmetry-distinct sites (fractional):
V (0.0000, 0.0000, 0.0000) (multiplicity 1)
V (0.0284, 0.7291, 0.6646) (multiplicity 1)
V (0.0818, 0.9351, 0.3559) (multiplicity 1)
V (0.1816, 0.2237, 0.6565) (multiplicity 1)
V (0.3412, 0.5824, 0.9337) (multiplicity 1)
V (0.4676, 0.3812, 0.2807) (multiplicity 1)
V (0.5244, 0.8221, 0.2000) (multiplicity 1)
V (0.6278, 0.3542, 0.6858) (multiplicity 1)
V (0.8683, 0.4902, 0.4071) (multiplicity 1)
O (0.0328, 0.2197, 0.8630) (multiplicity 1)
O (0.0382, 0.2364, 0.3357) (multiplicity 1)
O (0.0640, 0.0017, 0.5913) (multiplicity 1)
O (0.0690, 0.7689, 0.8765) (multiplicity 1)
O (0.1984, 0.3215, 0.4244) (multiplicity 1)
O (0.2158, 0.9550, 0.1515) (multiplicity 1)
O (0.3008, 0.4370, 0.0868) (multiplicity 1)
O (0.3094, 0.6665, 0.3206) (multiplicity 1)
O (0.3170, 0.4925, 0.7289) (multiplicity 1)
O (0.4036, 0.8056, 0.4142) (multiplicity 1)
O (0.4577, 0.1261, 0.6741) (multiplicity 1)
O (0.5258, 0.7781, 0.9689) (multiplicity 1)
O (0.5798, 0.1041, 0.2220) (multiplicity 1)
O (0.6202, 0.3842, 0.4710) (multiplicity 1)
O (0.6466, 0.5860, 0.9086) (multiplicity 1)
O (0.7101, 0.5445, 0.2306) (multiplicity 1)
O (0.8054, 0.1799, 0.8398) (multiplicity 1)
O (0.8057, 0.9906, 0.1920) (multiplicity 1)
O (0.9166, 0.7426, 0.4546) (multiplicity 1)
O (0.9177, 0.4579, 0.6366) (multiplicity 1)